This entry pairs a crystal structure of LiMnNbO4 with its computed powder X-ray diffraction pattern. Radiation: λ = 1.5418 Å (Cu Kα). Structure: a structure optimized by DFT (PBE+U).

Structural model:
Cell: 6.2865 6.2865 8.6274 Å, 90.00 90.00 90.00°
Sites, in units of the cell vectors:
1 Li 0.0000 0.2244 0.0000
2 Li 0.0000 0.7756 0.5000
3 Li 0.2244 0.0000 0.2500
4 Li 0.7756 0.0000 0.7500
5 Mn 0.2545 0.2545 0.6250
6 Mn 0.2545 0.7455 0.8750
7 Mn 0.7455 0.2545 0.3750
8 Mn 0.7455 0.7455 0.1250
9 Nb 0.2202 0.5000 0.2500
10 Nb 0.5000 0.2202 0.0000
11 Nb 0.5000 0.7798 0.5000
12 Nb 0.7798 0.5000 0.7500
13 O 0.0288 0.2654 0.2535
14 O 0.0288 0.7346 0.2465
15 O 0.2654 0.0288 0.9965
16 O 0.2654 0.9712 0.5035
17 O 0.2694 0.4830 0.0194
18 O 0.2694 0.5170 0.4806
19 O 0.4830 0.2694 0.2306
20 O 0.4830 0.7306 0.2694
21 O 0.5170 0.2694 0.7694
22 O 0.5170 0.7306 0.7306
23 O 0.7306 0.4830 0.9806
24 O 0.7306 0.5170 0.5194
25 O 0.7346 0.0288 0.0035
26 O 0.7346 0.9712 0.4965
27 O 0.9712 0.2654 0.7465
28 O 0.9712 0.7346 0.7535

Top 10 peaks for 10° ≤ 2θ ≤ 90°, sorted by position:
two_theta	d [Å]	I_rel	(hkl)
14.09	6.287	47.1	1 0 0
22.50	3.952	79.0	1 1 1
25.04	3.557	48.4	1 0 2
28.84	3.096	31.8	1 1 2
33.52	2.673	100.0	2 1 1
34.29	2.615	48.5	1 0 3
46.90	1.937	19.4	3 1 1
53.61	1.709	36.7	3 2 1
58.75	1.572	22.0	4 0 0
59.75	1.548	46.2	2 2 4